Structure and theoretical XRD peak list of V3Ge (a structure optimized by DFT (GGA-PBE); CuKα).
Lines closer than 0.1° are merged.

Atomic structure:
Cell: 4.766 4.766 4.766 Å, 90.00 90.00 90.00°
Sites, in units of the cell vectors:
V: 0.000 0.250 0.500
V: 0.000 0.750 0.500
V: 0.250 0.500 0.000
V: 0.500 0.000 0.250
V: 0.500 0.000 0.750
V: 0.750 0.500 0.000
Ge: 0.000 0.000 0.000
Ge: 0.500 0.500 0.500

Main lines, in order of rising 2θ (10° ≤ 2θ ≤ 80°):
2θ/deg	I/Imax
26.4	9
37.7	47
42.4	84
46.7	100
54.5	2
61.5	2
68.2	3
71.4	15
74.5	46

---

Structure and theoretical XRD peak list of VGe2 (a structure optimized by DFT (GGA-PBE); CuKα).
Lines closer than 0.1° are merged.

Atomic structure:
Cell: 4.814 4.814 6.658 Å, 90.00 90.00 120.00°
Sites, in units of the cell vectors:
V: 0.000 0.500 0.167
V: 0.500 0.000 0.500
V: 0.500 0.500 0.833
Ge: 0.165 0.331 0.500
Ge: 0.165 0.835 0.833
Ge: 0.331 0.165 0.167
Ge: 0.669 0.835 0.167
Ge: 0.835 0.165 0.833
Ge: 0.835 0.669 0.500

Main lines, in order of rising 2θ (10° ≤ 2θ ≤ 80°):
2θ/deg	I/Imax
25.2	5
37.4	15
39.8	100
40.7	35
46.6	63
56.4	9
68.5	19
69.0	18
73.9	15
79.7	14

---

Structure and theoretical XRD peak list of VGe3 (a structure optimized by DFT (GGA-PBE); CuKα).
Lines closer than 0.1° are merged.

Atomic structure:
Cell: 5.098 5.098 5.098 Å, 90.00 90.00 90.00°
Sites, in units of the cell vectors:
V: 0.000 0.000 0.000
V: 0.500 0.500 0.500
Ge: 0.000 0.250 0.500
Ge: 0.000 0.750 0.500
Ge: 0.250 0.500 0.000
Ge: 0.500 0.000 0.250
Ge: 0.500 0.000 0.750
Ge: 0.750 0.500 0.000

Main lines, in order of rising 2θ (10° ≤ 2θ ≤ 80°):
2θ/deg	I/Imax
24.7	4
35.2	24
39.5	100
43.5	52
50.6	1
57.1	1
63.2	11
66.1	21
68.9	24
74.4	12

---

Structure and theoretical XRD peak list of ZrVGe (a structure optimized by DFT (GGA-PBE); CuKα).
Lines closer than 0.1° are merged.

Atomic structure:
Cell: 7.760 7.760 7.760 Å, 152.01 152.01 40.00°
Sites, in units of the cell vectors:
Zr: 0.176 0.176 0.000
Zr: 0.824 0.824 0.000
V: 0.000 0.500 0.500
V: 0.500 0.000 0.500
Ge: 0.373 0.373 0.000
Ge: 0.627 0.627 0.000

Main lines, in order of rising 2θ (10° ≤ 2θ ≤ 80°):
2θ/deg	I/Imax
33.8	57
36.0	80
37.0	32
39.1	77
42.1	100
48.5	68
62.4	22
62.5	25
64.0	35
71.0	21

---

Structure and theoretical XRD peak list of Ge2W (a structure optimized by DFT (GGA-PBE); CuKα).
Lines closer than 0.1° are merged.

Atomic structure:
Cell: 6.434 3.493 8.622 Å, 90.00 90.00 90.00°
Sites, in units of the cell vectors:
Ge: 0.062 0.250 0.132
Ge: 0.134 0.250 0.540
Ge: 0.366 0.750 0.040
Ge: 0.438 0.750 0.632
Ge: 0.562 0.250 0.368
Ge: 0.634 0.250 0.960
Ge: 0.866 0.750 0.460
Ge: 0.938 0.750 0.868
W: 0.249 0.250 0.829
W: 0.251 0.750 0.329
W: 0.749 0.250 0.671
W: 0.751 0.750 0.171

Main lines, in order of rising 2θ (10° ≤ 2θ ≤ 80°):
2θ/deg	I/Imax
24.9	32
27.5	41
27.7	25
35.9	24
39.5	87
43.1	100
44.3	34
47.3	37
52.4	26
73.3	20